(1)
For ErAl3, a crystal structure in Alexandria, relaxed with PBE gives the calculated X-ray powder pattern in this record (Cu Kα (λ = 1.5418 Å)).
Intensities are scaled so that the largest is 1000.

Structure:
```
20
Lattice="3.036 1.753 11.922 -3.036 1.753 11.922 0.000 -3.505 11.922" Properties=species:S:1:pos:R:3 pbc="T T T"
Er 0.000 0.000 0.000
Er 0.000 0.000 4.682
Er 0.000 0.000 14.309
Er 0.000 0.000 21.459
Er 0.000 0.000 31.085
Al -1.518 -0.876 11.922
Al 0.000 -1.577 9.553
Al -1.365 0.788 9.553
Al -1.532 -0.885 16.709
Al 0.000 -1.769 19.058
Al -1.532 0.885 19.058
Al -1.365 -0.788 26.214
Al -1.518 0.876 23.845
Al 0.000 1.753 11.922
Al 1.365 0.788 9.553
Al 1.532 -0.885 16.709
Al 0.000 1.769 16.709
Al 1.532 0.885 19.058
Al 1.365 -0.788 26.214
Al 0.000 1.577 26.214
```

Peak list (10 most intense, 2θ = 10–80°, by angle)
2θ/deg  I (rel.)
19.59  651
24.29  771
26.16  718
29.42  1000
35.59  502
37.73  534
38.51  697
39.78  685
48.55  502
74.04  428

=====

(2)
For ErAl4, a crystal structure in Alexandria, relaxed with PBE gives the calculated X-ray powder pattern in this record (Cu Kα (λ = 1.5418 Å)).
Intensities are scaled so that the largest is 1000.

Structure:
```
10
Lattice="-2.232 3.086 6.821 2.232 -3.086 6.821 2.232 3.086 -6.821" Properties=species:S:1:pos:R:3 pbc="T T T"
Er 0.000 1.543 1.514
Er 2.232 1.543 5.307
Al 2.232 0.000 0.000
Al 2.232 -1.543 5.277
Al 2.232 -0.192 2.710
Al 2.232 2.894 -2.710
Al 0.000 0.000 6.821
Al 0.000 0.192 9.531
Al 0.000 3.278 4.110
Al 0.000 4.629 1.543
```

Peak list (10 most intense, 2θ = 10–80°, by angle)
2θ/deg  I (rel.)
15.76  484
20.93  450
24.31  481
26.13  244
27.93  1000
35.98  822
38.68  618
39.38  424
40.40  299
57.69  277

=====

What is the formula in the first record?
ErAl3

=====

Copy entry 2 word for word.
For ErAl4, a crystal structure in Alexandria, relaxed with PBE gives the calculated X-ray powder pattern in this record (Cu Kα (λ = 1.5418 Å)).
Intensities are scaled so that the largest is 1000.

Structure:
```
10
Lattice="-2.232 3.086 6.821 2.232 -3.086 6.821 2.232 3.086 -6.821" Properties=species:S:1:pos:R:3 pbc="T T T"
Er 0.000 1.543 1.514
Er 2.232 1.543 5.307
Al 2.232 0.000 0.000
Al 2.232 -1.543 5.277
Al 2.232 -0.192 2.710
Al 2.232 2.894 -2.710
Al 0.000 0.000 6.821
Al 0.000 0.192 9.531
Al 0.000 3.278 4.110
Al 0.000 4.629 1.543
```

Peak list (10 most intense, 2θ = 10–80°, by angle)
2θ/deg  I (rel.)
15.76  484
20.93  450
24.31  481
26.13  244
27.93  1000
35.98  822
38.68  618
39.38  424
40.40  299
57.69  277